The following is a calculated powder X-ray diffraction pattern of PmScCr2O6. It was derived from DFT lattice parameters and positions (GGA+U), using Cu Kα (weighted mean of Kα1 and Kα2).
Intensities are scaled so that the largest is 100.

Crystal structure
```
10
Lattice="2.7051 1.5618 4.5730 -2.7051 1.5618 4.5730 0.0000 -3.1236 4.5730" Properties=species:S:1:pos:R:3 pbc="T T T"
Pm 0.0000 0.0000 0.0000
Sc 0.0000 0.0000 7.1591
Cr 0.0000 0.0000 3.1511
Cr 0.0000 0.0000 10.0786
O -0.9716 -1.7813 6.5183
O -1.4996 0.3181 8.7306
O -1.0569 1.7321 6.5183
O 0.4743 -1.4577 8.7306
O 2.0285 0.0493 6.5183
O 1.0252 1.1396 8.7306
```

Main lines, low angle first (2θ = 15–90°):
Position (°2θ)	I_rel
20.03	44.0
22.99	23.7
32.35	100.0
33.12	87.7
38.67	28.5
46.97	50.1
58.67	39.2
59.16	28.2